For Ca2Cr9O13, a cell relaxed with PBE+U gives the computed powder diffraction line list in this record (Cu Kα (λ = 1.5418 Å)).

Cell and atoms:
```
data_Ca2Cr9O13
_symmetry_space_group_name_H-M 'P -1'
_symmetry_Int_Tables_number 2
_cell_length_a 3.122
_cell_length_b 5.372
_cell_length_c 16.627
_cell_angle_alpha 81.39
_cell_angle_beta 85.25
_cell_angle_gamma 75.74
loop_
_symmetry_equiv_pos_as_xyz
'x,y,z'
'-x,-y,-z'
loop_
_atom_site_label
_atom_site_type_symbol
_atom_site_fract_x
_atom_site_fract_y
_atom_site_fract_z
Ca1 Ca 0.248 0.266 0.270
Cr1 Cr 0.006 0.823 0.162
Cr2 Cr 0.046 0.272 0.622
Cr3 Cr 0.247 0.595 0.921
Cr4 Cr 0.353 0.758 0.540
Cr5 Cr 0.500 0.000 0.000
O1 O 0.000 0.500 0.500
O2 O 0.051 0.709 0.039
O3 O 0.102 0.057 0.730
O4 O 0.339 0.953 0.421
O5 O 0.384 0.436 0.816
O6 O 0.420 0.514 0.644
O7 O 0.436 0.085 0.121
```

Top 6 peaks for 2θ from 10° to 90°, by angle:
2theta  d_spacing  intensity  index
10.8  8.210  658  0 0 2
34.3  2.616  1000  0 1 -5
35.0  2.564  862  0 1 6
39.3  2.295  595  -1 1 2
39.8  2.266  649  1 -1 2
41.1  2.196  745  1 2 3

=====

For CaCr2O4, a cell relaxed with PBE+U gives the computed powder diffraction line list in this record (Cu Kα (λ = 1.5418 Å)).

Cell and atoms:
```
data_CaCr2O4
_symmetry_space_group_name_H-M 'C 1 m 1'
_symmetry_Int_Tables_number 8
_cell_length_a 10.975
_cell_length_b 6.200
_cell_length_c 15.261
_cell_angle_alpha 90.00
_cell_angle_beta 92.45
_cell_angle_gamma 90.00
loop_
_symmetry_equiv_pos_as_xyz
'x,y,z'
'x,-y,z'
'x+1/2,y+1/2,z'
'x+1/2,-y+1/2,z'
loop_
_atom_site_label
_atom_site_type_symbol
_atom_site_fract_x
_atom_site_fract_y
_atom_site_fract_z
Ca1 Ca 0.000 0.000 0.000
Ca2 Ca 0.000 0.000 0.373
Ca3 Ca 0.001 0.500 0.877
Ca4 Ca 0.168 0.500 0.712
Ca5 Ca 0.171 0.000 0.209
Ca6 Ca 0.334 0.500 0.542
Cr1 Cr 0.008 0.000 0.752
Cr2 Cr 0.084 0.248 0.542
Cr3 Cr 0.163 0.500 0.333
Cr4 Cr 0.188 0.500 0.082
Cr5 Cr 0.255 0.244 0.877
Cr6 Cr 0.329 0.000 0.665
Cr7 Cr 0.336 0.000 0.039
Cr8 Cr 0.340 0.000 0.419
Cr9 Cr 0.418 0.246 0.208
O1 O 0.004 0.500 0.612
O2 O 0.020 0.000 0.620
O3 O 0.075 0.263 0.285
O4 O 0.093 0.239 0.801
O5 O 0.149 0.500 0.464
O6 O 0.165 0.000 0.472
O7 O 0.187 0.500 0.955
O8 O 0.193 0.000 0.951
O9 O 0.240 0.241 0.621
O10 O 0.269 0.243 0.120
O11 O 0.317 0.000 0.795
O12 O 0.331 0.500 0.277
O13 O 0.338 0.500 0.810
O14 O 0.353 0.000 0.288
O15 O 0.396 0.220 0.960
O16 O 0.428 0.242 0.463
O17 O 0.483 0.000 0.129
O18 O 0.484 0.500 0.145
```

Top 6 peaks for 2θ from 10° to 90°, by angle:
2theta  d_spacing  intensity  index
32.9  2.722  697  3 1 -3
33.5  2.679  1000  4 0 1
33.6  2.667  651  2 2 -1
33.9  2.647  717  0 2 3
40.5  2.225  622  2 2 -4
58.6  1.574  621  6 2 0

=====

For CaCr2O4, a cell relaxed with PBE+U gives the computed powder diffraction line list in this record (Cu Kα (λ = 1.5418 Å)).

Cell and atoms:
```
data_CaCr2O4
_symmetry_space_group_name_H-M 'I m m a'
_symmetry_Int_Tables_number 74
_symmetry_space_group_name_Hall '-I 2b 2'
_cell_length_a 6.228
_cell_length_b 6.310
_cell_length_c 8.612
_cell_angle_alpha 90.00
_cell_angle_beta 90.00
_cell_angle_gamma 90.00
loop_
_atom_site_label
_atom_site_type_symbol
_atom_site_fract_x
_atom_site_fract_y
_atom_site_fract_z
Ca1 Ca 0.000 0.000 0.000
Cr1 Cr 0.000 0.000 0.500
Cr2 Cr 0.250 0.250 0.250
O1 O 0.000 0.042 0.264
O2 O 0.222 0.250 0.486
```

Top 6 peaks for 2θ from 10° to 90°, by angle:
2theta  d_spacing  intensity  index
17.4  5.090  971  0 1 1
35.3  2.545  280  0 2 2
35.6  2.523  259  2 0 2
40.7  2.216  1000  2 2 0
42.0  2.153  464  0 0 4
59.9  1.544  513  2 2 4

=====

For CaCr4O8, a cell relaxed with PBE+U gives the computed powder diffraction line list in this record (Cu Kα (λ = 1.5418 Å)).

Cell and atoms:
```
data_CaCr4O8
_symmetry_space_group_name_H-M 'C 1 m 1'
_symmetry_Int_Tables_number 8
_cell_length_a 13.782
_cell_length_b 3.032
_cell_length_c 9.205
_cell_angle_alpha 90.00
_cell_angle_beta 131.03
_cell_angle_gamma 90.00
loop_
_symmetry_equiv_pos_as_xyz
'x,y,z'
'x,-y,z'
'x+1/2,y+1/2,z'
'x+1/2,-y+1/2,z'
loop_
_atom_site_label
_atom_site_type_symbol
_atom_site_fract_x
_atom_site_fract_y
_atom_site_fract_z
Ca1 Ca 0.000 0.000 0.000
Cr1 Cr 0.221 0.000 0.543
Cr2 Cr 0.228 0.500 0.887
Cr3 Cr 0.420 0.000 0.258
Cr4 Cr 0.430 0.500 0.598
O1 O 0.035 0.000 0.322
O2 O 0.118 0.000 0.820
O3 O 0.212 0.500 0.672
O4 O 0.241 0.500 0.423
O5 O 0.296 0.500 0.145
O6 O 0.367 0.000 0.997
O7 O 0.420 0.000 0.743
O8 O 0.439 0.000 0.475
```

Top 6 peaks for 2θ from 10° to 90°, by angle:
2theta  d_spacing  intensity  index
17.1  5.198  624  2 0 0
19.3  4.602  776  2 0 -2
30.2  2.955  796  2 0 -3
34.5  2.599  819  4 0 0
35.7  2.514  1000  3 1 -1
50.7  1.801  666  5 1 -4

=====

For CaCr2O4, a cell relaxed with PBE+U gives the computed powder diffraction line list in this record (Cu Kα (λ = 1.5418 Å)).

Cell and atoms:
```
data_CaCr2O4
_symmetry_space_group_name_H-M 'P m m n'
_symmetry_Int_Tables_number 59
_cell_length_a 5.983
_cell_length_b 11.167
_cell_length_c 5.138
_cell_angle_alpha 90.00
_cell_angle_beta 90.00
_cell_angle_gamma 90.00
loop_
_symmetry_equiv_pos_as_xyz
'x,y,z'
'-x,-y,-z'
'-x+1/2,-y+1/2,z'
'x+1/2,y+1/2,-z'
'x+1/2,-y,-z'
'-x+1/2,y,z'
'-x,y+1/2,-z'
'x,-y+1/2,z'
loop_
_atom_site_label
_atom_site_type_symbol
_atom_site_fract_x
_atom_site_fract_y
_atom_site_fract_z
Ca1 Ca 0.250 0.250 0.038
Ca2 Ca 0.250 0.750 0.353
Cr1 Cr 0.000 0.000 0.500
Cr2 Cr 0.250 0.509 0.992
O1 O 0.003 0.101 0.837
O2 O 0.250 0.090 0.322
O3 O 0.250 0.599 0.655
```

Top 6 peaks for 2θ from 10° to 90°, by angle:
2theta  d_spacing  intensity  index
15.9  5.584  1000  0 2 0
34.7  2.585  230  2 0 1
38.4  2.346  402  2 2 1
48.0  1.897  486  2 4 1
48.1  1.890  251  0 4 2
62.5  1.486  207  2 0 3

=====

For CaCrO4, a cell relaxed with PBE+U gives the computed powder diffraction line list in this record (Cu Kα (λ = 1.5418 Å)).

Cell and atoms:
```
data_CaCrO4
_symmetry_space_group_name_H-M 'I 41/a m d'
_symmetry_Int_Tables_number 141
_cell_length_a 7.349
_cell_length_b 7.349
_cell_length_c 6.329
_cell_angle_alpha 90.00
_cell_angle_beta 90.00
_cell_angle_gamma 90.00
loop_
_symmetry_equiv_pos_as_xyz
'x,y,z'
'-x,-y,-z'
'-y+1/4,x+3/4,z+1/4'
'y+1/4,-x+3/4,-z+1/4'
'-x+1/2,-y,z+1/2'
'x+1/2,y,-z+1/2'
'y+1/4,-x+1/4,z+3/4'
'-y+1/4,x+1/4,-z+3/4'
'x,-y,-z'
'-x,y,z'
'-y+1/4,-x+1/4,-z+3/4'
'y+1/4,x+1/4,z+3/4'
'-x+1/2,y,-z+1/2'
'x+1/2,-y,z+1/2'
'y+1/4,x+3/4,-z+1/4'
'-y+1/4,-x+3/4,z+1/4'
'x+1/2,y+1/2,z+1/2'
'-x+1/2,-y+1/2,-z+1/2'
'-y+3/4,x+1/4,z+3/4'
'y+3/4,-x+1/4,-z+3/4'
'-x,-y+1/2,z'
'x,y+1/2,-z'
'y+3/4,-x+3/4,z+1/4'
'-y+3/4,x+3/4,-z+1/4'
'x+1/2,-y+1/2,-z+1/2'
'-x+1/2,y+1/2,z+1/2'
'-y+3/4,-x+3/4,-z+1/4'
'y+3/4,x+3/4,z+1/4'
'-x,y+1/2,-z'
'x,-y+1/2,z'
'y+3/4,x+1/4,-z+3/4'
'-y+3/4,-x+1/4,z+3/4'
loop_
_atom_site_label
_atom_site_type_symbol
_atom_site_fract_x
_atom_site_fract_y
_atom_site_fract_z
Ca1 Ca 0.000 0.250 0.375
Cr1 Cr 0.000 0.250 0.875
O1 O 0.000 0.070 0.714
```

Top 6 peaks for 2θ from 10° to 90°, by angle:
2theta  d_spacing  intensity  index
24.2  3.674  1000  2 0 0
30.7  2.917  134  2 1 1
33.1  2.703  503  1 1 2
48.6  1.873  473  3 1 2
49.6  1.837  151  4 0 0
61.0  1.519  150  3 3 2